(1)
La6HoTm3: simulated powder X-ray diffraction pattern (Cu Kα, 1.54184 Å), based on a crystal structure in Alexandria, relaxed with PBE.

Most intense lines, 10 to 90 degrees two-theta, by intensity:
31.83°, d 2.811, rel. 100; 31.97°, d 2.799, rel. 63; 28.11°, d 3.174, rel. 45; 27.74°, d 3.216, rel. 37; 32.81°, d 2.729, rel. 35; 32.11°, d 2.788, rel. 31; 34.23°, d 2.619, rel. 28; 29.92°, d 2.986, rel. 21; 14.17°, d 6.252, rel. 19; 56.89°, d 1.618, rel. 19

Structure:
a b c (Å): 10.1010 12.5046 5.5982
angles (deg): 90.00 90.00 90.00
Positions (direct):
1 La 0.0502 0.2203 0.0000
2 La 0.1813 0.6707 0.5000
3 La 0.1880 0.9839 0.0000
4 La 0.3120 0.4839 0.0000
5 La 0.3187 0.1707 0.5000
6 La 0.4498 0.7203 0.0000
7 La 0.5502 0.2797 0.0000
8 La 0.6813 0.8293 0.5000
9 La 0.6880 0.5161 0.0000
10 La 0.8120 0.0161 0.0000
11 La 0.8187 0.3293 0.5000
12 La 0.9498 0.7797 0.0000
13 Ho 0.0000 0.5000 0.0000
14 Ho 0.5000 0.0000 0.0000
15 Tm 0.0000 0.0000 0.5000
16 Tm 0.1461 0.4037 0.5000
17 Tm 0.3539 0.9037 0.5000
18 Tm 0.5000 0.5000 0.5000
19 Tm 0.6461 0.0963 0.5000
20 Tm 0.8539 0.5963 0.5000

(2)
ZnSn2O4: simulated powder X-ray diffraction pattern (Cu Kα, 1.54184 Å), based on a crystal structure in Alexandria, relaxed with PBE.

Most intense lines, 10 to 90 degrees two-theta, by intensity:
27.86°, d 3.202, rel. 100; 32.34°, d 2.768, rel. 95; 22.64°, d 3.927, rel. 70; 34.47°, d 2.602, rel. 37; 35.18°, d 2.551, rel. 35; 36.07°, d 2.490, rel. 27; 33.94°, d 2.642, rel. 27; 33.04°, d 2.711, rel. 25; 30.21°, d 2.958, rel. 25; 55.71°, d 1.650, rel. 24

Structure:
a b c (Å): 3.3008 10.1693 12.7369
angles (deg): 90.00 103.85 90.00
Positions (direct):
1 Zn 0.0000 0.1162 0.0000
2 Zn 0.0000 0.8838 0.5000
3 Zn 0.9463 0.3475 0.4507
4 Zn 0.9463 0.6525 0.9507
5 Sn 0.3212 0.0640 0.3128
6 Sn 0.3212 0.9360 0.8128
7 Sn 0.3864 0.4080 0.8840
8 Sn 0.3864 0.5920 0.3840
9 Sn 0.6798 0.2161 0.6570
10 Sn 0.6798 0.7839 0.1570
11 Sn 0.6923 0.3248 0.1769
12 Sn 0.6923 0.6752 0.6769
13 O 0.1793 0.1701 0.1648
14 O 0.1793 0.8299 0.6648
15 O 0.2620 0.2905 0.7460
16 O 0.2620 0.7095 0.2460
17 O 0.4643 0.0214 0.9622
18 O 0.4643 0.9786 0.4622
19 O 0.4888 0.4360 0.4969
20 O 0.4888 0.5640 0.9969
21 O 0.7736 0.0471 0.7609
22 O 0.7736 0.9529 0.2609
23 O 0.8245 0.4834 0.3167
24 O 0.8245 0.5166 0.8167
25 O 0.8503 0.1987 0.3455
26 O 0.8503 0.8013 0.8455
27 O 0.9494 0.3060 0.9524
28 O 0.9494 0.6940 0.4524

(3)
PrY2Cd2: simulated powder X-ray diffraction pattern (Cu Kα, 1.54184 Å), based on a crystal structure in Alexandria, relaxed with PBE.

Most intense lines, 10 to 90 degrees two-theta, by intensity:
33.03°, d 2.712, rel. 100; 32.78°, d 2.732, rel. 27; 32.16°, d 2.783, rel. 23; 58.67°, d 1.574, rel. 18; 46.58°, d 1.950, rel. 16; 57.89°, d 1.593, rel. 13; 69.29°, d 1.356, rel. 9; 59.53°, d 1.553, rel. 9; 48.22°, d 1.887, rel. 9; 59.15°, d 1.562, rel. 8

Structure:
a b c (Å): 3.7745 5.4648 14.0448
angles (deg): 90.00 97.74 90.00
Positions (direct):
1 Pr 0.1484 0.2500 0.2949
2 Pr 0.8516 0.7500 0.7051
3 Y 0.0470 0.7500 0.0938
4 Y 0.2359 0.7500 0.4722
5 Y 0.7641 0.2500 0.5278
6 Y 0.9530 0.2500 0.9062
7 Cd 0.3583 0.2500 0.7167
8 Cd 0.4521 0.7500 0.9055
9 Cd 0.5479 0.2500 0.0945
10 Cd 0.6417 0.7500 0.2833

(4)
MnCu3Pd6: simulated powder X-ray diffraction pattern (Cu Kα, 1.54184 Å), based on a crystal structure in Alexandria, relaxed with PBE.

Most intense lines, 10 to 90 degrees two-theta, by intensity:
42.60°, d 2.122, rel. 100; 40.41°, d 2.232, rel. 33; 39.73°, d 2.269, rel. 23; 74.99°, d 1.266, rel. 18; 44.81°, d 2.023, rel. 16; 57.96°, d 1.591, rel. 14; 79.91°, d 1.201, rel. 8; 37.27°, d 2.412, rel. 8; 65.55°, d 1.424, rel. 7; 28.04°, d 3.182, rel. 6

Structure:
a b c (Å): 7.2903 4.4640 9.5064
angles (deg): 90.00 111.18 90.00
Positions (direct):
1 Mn 0.0431 0.2500 0.4144
2 Mn 0.9569 0.7500 0.5856
3 Cu 0.2361 0.2500 0.0262
4 Cu 0.3726 0.7500 0.7831
5 Cu 0.4503 0.2500 0.6261
6 Cu 0.5497 0.7500 0.3739
7 Cu 0.6274 0.2500 0.2169
8 Cu 0.7639 0.7500 0.9738
9 Pd 0.0731 0.7500 0.8771
10 Pd 0.1501 0.2500 0.7134
11 Pd 0.1570 0.7500 0.1795
12 Pd 0.2577 0.7500 0.4904
13 Pd 0.3454 0.2500 0.3272
14 Pd 0.4649 0.7500 0.0784
15 Pd 0.5351 0.2500 0.9216
16 Pd 0.6546 0.7500 0.6728
17 Pd 0.7423 0.2500 0.5096
18 Pd 0.8430 0.2500 0.8205
19 Pd 0.8499 0.7500 0.2866
20 Pd 0.9269 0.2500 0.1229

(5)
PaGeRh2: simulated powder X-ray diffraction pattern (Cu Kα, 1.54184 Å), based on a crystal structure in Alexandria, relaxed with PBE.

Most intense lines, 10 to 90 degrees two-theta, by intensity:
35.91°, d 2.501, rel. 100; 35.67°, d 2.517, rel. 78; 36.31°, d 2.474, rel. 66; 43.18°, d 2.095, rel. 62; 37.00°, d 2.430, rel. 61; 36.42°, d 2.467, rel. 61; 46.16°, d 1.967, rel. 46; 53.50°, d 1.713, rel. 27; 52.96°, d 1.729, rel. 26; 65.72°, d 1.421, rel. 22

Structure:
a b c (Å): 3.9341 6.8486 5.6053
angles (deg): 90.00 109.34 90.00
Positions (direct):
1 Pa 0.0714 0.2500 0.1298
2 Pa 0.9286 0.7500 0.8702
3 Ge 0.2260 0.7500 0.4311
4 Ge 0.7740 0.2500 0.5689
5 Rh 0.3494 0.0405 0.7328
6 Rh 0.3494 0.4595 0.7328
7 Rh 0.6506 0.5405 0.2672
8 Rh 0.6506 0.9595 0.2672

(6)
YCo5C2: simulated powder X-ray diffraction pattern (Cu Kα, 1.54184 Å), based on a crystal structure in Alexandria, relaxed with PBE.

Most intense lines, 10 to 90 degrees two-theta, by intensity:
42.31°, d 2.136, rel. 100; 41.11°, d 2.196, rel. 93; 37.35°, d 2.408, rel. 42; 52.04°, d 1.757, rel. 30; 54.83°, d 1.674, rel. 25; 71.63°, d 1.317, rel. 17; 78.98°, d 1.212, rel. 16; 65.79°, d 1.419, rel. 15; 29.45°, d 3.033, rel. 14; 52.65°, d 1.738, rel. 14

Structure:
a b c (Å): 5.3266 5.3266 5.3266
angles (deg): 141.47 111.45 81.49
Positions (direct):
1 Y 0.0000 0.0000 0.0000
2 Co 0.1449 0.3409 0.8041
3 Co 0.4632 0.6591 0.8041
4 Co 0.5000 0.0000 0.5000
5 Co 0.5368 0.3409 0.1959
6 Co 0.8551 0.6591 0.1959
7 C 0.2602 0.7602 0.5000
8 C 0.7398 0.2398 0.5000

(7)
CsOs2O9: simulated powder X-ray diffraction pattern (Cu Kα, 1.54184 Å), based on a crystal structure in Alexandria, relaxed with PBE.

Most intense lines, 10 to 90 degrees two-theta, by intensity:
21.82°, d 4.074, rel. 100; 24.36°, d 3.654, rel. 78; 24.25°, d 3.671, rel. 38; 25.41°, d 3.506, rel. 37; 30.27°, d 2.953, rel. 18; 16.71°, d 5.306, rel. 18; 19.29°, d 4.601, rel. 17; 31.80°, d 2.814, rel. 17; 39.73°, d 2.269, rel. 16; 41.20°, d 2.191, rel. 16

Structure:
a b c (Å): 7.9758 7.9758 11.2669
angles (deg): 108.19 108.19 43.46
Positions (direct):
1 Cs 0.0105 0.9895 0.5000
2 Cs 0.9895 0.0105 0.0000
3 Os 0.2972 0.3896 0.7167
4 Os 0.3896 0.2972 0.2167
5 Os 0.5819 0.7382 0.3296
6 Os 0.7382 0.5819 0.8296
7 O 0.1621 0.6811 0.7070
8 O 0.1973 0.2662 0.5977
9 O 0.2077 0.5905 0.1815
10 O 0.2652 0.9822 0.2952
11 O 0.2662 0.1973 0.0977
12 O 0.3350 0.3605 0.3697
13 O 0.3605 0.3350 0.8697
14 O 0.5086 0.7142 0.7027
15 O 0.5891 0.5969 0.4257
16 O 0.5905 0.2077 0.6815
17 O 0.5969 0.5891 0.9257
18 O 0.6192 0.9083 0.2440
19 O 0.6811 0.1621 0.2070
20 O 0.7142 0.5086 0.2027
21 O 0.7561 0.7930 0.4393
22 O 0.7930 0.7561 0.9393
23 O 0.9083 0.6192 0.7440
24 O 0.9822 0.2652 0.7952

(8)
MnTc7: simulated powder X-ray diffraction pattern (Cu Kα, 1.54184 Å), based on a crystal structure in Alexandria, relaxed with PBE.

Most intense lines, 10 to 90 degrees two-theta, by intensity:
40.50°, d 2.227, rel. 100; 47.12°, d 1.929, rel. 48; 83.03°, d 1.163, rel. 35; 68.84°, d 1.364, rel. 30; 87.63°, d 1.114, rel. 10; 19.93°, d 4.454, rel. 2; 38.71°, d 2.326, rel. 1; 23.06°, d 3.857, rel. 1; 32.83°, d 2.728, rel. 1; 51.64°, d 1.770, rel. 1

Structure:
a b c (Å): 5.4553 5.4553 5.4553
angles (deg): 60.00 60.00 60.00
Positions (direct):
1 Mn 0.0000 0.0000 0.0000
2 Tc 0.0000 0.0000 0.5000
3 Tc 0.0000 0.5000 0.0000
4 Tc 0.0000 0.5000 0.5000
5 Tc 0.5000 0.0000 0.0000
6 Tc 0.5000 0.0000 0.5000
7 Tc 0.5000 0.5000 0.0000
8 Tc 0.5000 0.5000 0.5000